Diffraction record for HfNF5. The powder diffraction line list is theoretical, not measured: it uses a cell relaxed with GGA-PBE and Cu Ka.
Lines closer than 0.1° are merged.

Largest 10 diffraction maxima, low angle first, 2θ = 5–70°:
d/Å	I_rel
7.402	100.0
4.167	45.3
3.701	14.8
3.632	72.8
2.947	25.4
2.767	20.3
2.738	13.0
2.123	15.3
1.807	19.9
1.665	10.1

Structural model:
```
data_HfNF5
_chemical_formula_sum 'Hf4 N4 F20'
_symmetry_space_group_name_H-M 'P 1'
_symmetry_Int_Tables_number 1
_symmetry_space_group_name_Hall 'P 1'
_cell_length_a 8.4925
_cell_length_b 8.4925
_cell_length_c 8.3448
_cell_angle_alpha 90.00
_cell_angle_beta 90.00
_cell_angle_gamma 58.70
loop_
_atom_site_label
_atom_site_fract_x
_atom_site_fract_y
_atom_site_fract_z
_atom_site_occupancy
Hf1 0.2444 0.7556 0.7532 1
Hf2 0.2556 0.7444 0.2532 1
Hf3 0.7444 0.2556 0.7468 1
Hf4 0.7556 0.2444 0.2468 1
N1 0.2275 0.2275 0.0000 1
N2 0.2725 0.2725 0.5000 1
N3 0.7275 0.7275 0.5000 1
N4 0.7725 0.7725 0.0000 1
F1 0.0030 0.9970 0.2543 1
F2 0.1191 0.6234 0.2287 1
F3 0.1234 0.6191 0.7287 1
F4 0.1366 0.1366 0.0000 1
F5 0.2461 0.7539 0.4976 1
F6 0.2539 0.7461 0.9976 1
F7 0.3634 0.3634 0.5000 1
F8 0.3766 0.8809 0.2287 1
F9 0.3809 0.8766 0.7287 1
F10 0.4970 0.5030 0.7543 1
F11 0.5030 0.4970 0.2457 1
F12 0.6191 0.1234 0.2713 1
F13 0.6234 0.1191 0.7713 1
F14 0.6366 0.6366 0.5000 1
F15 0.7461 0.2539 0.0024 1
F16 0.7539 0.2461 0.5024 1
F17 0.8634 0.8634 0.0000 1
F18 0.8766 0.3809 0.2713 1
F19 0.8809 0.3766 0.7713 1
F20 0.9970 0.0030 0.7457 1
```